Entry 1:
MgNb2B2O8: calculated powder X-ray diffraction pattern (copper Kα), based on the GGA-PBE geometry in the Materials Project.
No peak broadening, texture or thermal motion is included.

Structural model:
Unit cell a=5.6530 b=5.6530 c=5.4768 alpha=116.99 beta=116.99 gamma=70.40
Positions (direct):
Mg: 0.0000 0.0000 0.0000
Nb: 0.2889 0.2889 0.6740
Nb: 0.7111 0.7111 0.3260
B: 0.2796 0.2796 0.1475
B: 0.7204 0.7204 0.8525
O: 0.0687 0.4068 0.2933
O: 0.1348 0.1348 0.8268
O: 0.4068 0.0687 0.2933
O: 0.4367 0.4367 0.1545
O: 0.5633 0.5633 0.8455
O: 0.5932 0.9313 0.7067
O: 0.8652 0.8652 0.1732
O: 0.9313 0.5932 0.7067

Main lines, in order of rising 2θ (10° ≤ 2θ ≤ 80°):
d (Å), I (rel.)
4.365, 71
4.190, 44
3.842, 94
3.259, 100
2.882, 56
2.427, 45
2.279, 40
2.019, 23
1.800, 33
1.756, 25

---

Entry 2:
MgNb2B2O8: calculated powder X-ray diffraction pattern (copper Kα), based on the GGA-PBE geometry in the Materials Project.
No peak broadening, texture or thermal motion is included.

Structural model:
Unit cell a=5.4465 b=5.4530 c=5.4970 alpha=61.32 beta=61.30 gamma=76.04
Positions (direct):
Mg: 0.0000 0.0000 0.0000
Nb: 0.0382 0.4430 0.3811
Nb: 0.5572 0.9611 0.6207
B: 0.0417 0.4949 0.8537
B: 0.5040 0.9581 0.1485
O: 0.1781 0.6648 0.8874
O: 0.2313 0.3261 0.6771
O: 0.3340 0.8221 0.1148
O: 0.3719 0.1387 0.3036
O: 0.6738 0.7689 0.3244
O: 0.7245 0.1087 0.8007
O: 0.8603 0.6268 0.6991
O: 0.8900 0.2758 0.2011

Main lines, in order of rising 2θ (10° ≤ 2θ ≤ 80°):
d (Å), I (rel.)
4.358, 34
4.251, 87
4.196, 57
3.404, 100
3.357, 100
2.410, 50
2.390, 43
2.354, 46
2.127, 50
2.072, 61

---

Entry 3:
Mg14NiB: calculated powder X-ray diffraction pattern (copper Kα), based on the GGA-PBE geometry in the Materials Project.
No peak broadening, texture or thermal motion is included.

Structural model:
Unit cell a=9.5913 b=6.2903 c=6.2903 alpha=61.39 beta=90.00 gamma=90.00
Positions (direct):
Mg: 0.0000 0.0000 0.0000
Mg: 0.0000 0.0099 0.5070
Mg: 0.0000 0.4983 0.4983
Mg: 0.0000 0.5070 0.0099
Mg: 0.2494 0.1757 0.1757
Mg: 0.2495 0.6717 0.6717
Mg: 0.3116 0.1768 0.6954
Mg: 0.3116 0.6954 0.1768
Mg: 0.5000 0.4517 0.9630
Mg: 0.5000 0.9630 0.4517
Mg: 0.6884 0.1768 0.6954
Mg: 0.6884 0.6954 0.1768
Mg: 0.7505 0.6717 0.6717
Mg: 0.7506 0.1757 0.1757
Ni: 0.5000 0.5238 0.5238
B: 0.5000 0.0344 0.0344

Main lines, in order of rising 2θ (10° ≤ 2θ ≤ 80°):
d (Å), I (rel.)
4.788, 14
2.762, 20
2.752, 8
2.704, 14
2.394, 100
2.356, 25
2.022, 8
1.811, 9
1.606, 8
1.572, 14

---

Entry 4:
Mg14NiB: calculated powder X-ray diffraction pattern (copper Kα), based on the GGA-PBE geometry in the Materials Project.
No peak broadening, texture or thermal motion is included.

Structural model:
Unit cell a=6.2059 b=6.2059 c=9.8116 alpha=90.00 beta=90.00 gamma=120.00
Positions (direct):
Mg: 0.0000 0.0000 0.2483
Mg: 0.0000 0.0000 0.7517
Mg: 0.0163 0.5082 0.2500
Mg: 0.0163 0.5082 0.7500
Mg: 0.3327 0.1664 0.5000
Mg: 0.3333 0.1667 0.0000
Mg: 0.4918 0.5082 0.2500
Mg: 0.4918 0.5082 0.7500
Mg: 0.4918 0.9837 0.2500
Mg: 0.4918 0.9837 0.7500
Mg: 0.8333 0.1667 0.0000
Mg: 0.8333 0.6667 0.0000
Mg: 0.8336 0.1664 0.5000
Mg: 0.8336 0.6673 0.5000
Ni: 0.3333 0.6667 0.0000
B: 0.3333 0.6667 0.5000

Main lines, in order of rising 2θ (10° ≤ 2θ ≤ 80°):
d (Å), I (rel.)
4.714, 13
2.959, 4
2.687, 25
2.453, 25
2.357, 100
1.812, 15
1.551, 17
1.397, 17
1.311, 18
1.296, 13

---

Entry 5:
MgNi3B2: calculated powder X-ray diffraction pattern (copper Kα), based on the GGA-PBE geometry in the Materials Project.
No peak broadening, texture or thermal motion is included.

Structural model:
Unit cell a=4.8802 b=4.8802 c=8.7467 alpha=90.00 beta=90.00 gamma=120.00
Positions (direct):
Mg: 0.0000 0.0000 0.0000
Mg: 0.0000 0.0000 0.3333
Mg: 0.0000 0.0000 0.6667
Ni: 0.0000 0.5000 0.1247
Ni: 0.0000 0.5000 0.5420
Ni: 0.0000 0.5000 0.8333
Ni: 0.5000 0.0000 0.2087
Ni: 0.5000 0.0000 0.5000
Ni: 0.5000 0.0000 0.7913
Ni: 0.5000 0.5000 0.1667
Ni: 0.5000 0.5000 0.4580
Ni: 0.5000 0.5000 0.8753
B: 0.2232 0.6116 0.3333
B: 0.3884 0.6116 0.6667
B: 0.3884 0.7768 0.0000
B: 0.6116 0.2232 0.0000
B: 0.6116 0.3884 0.6667
B: 0.7768 0.3884 0.3333

Main lines, in order of rising 2θ (10° ≤ 2θ ≤ 80°):
d (Å), I (rel.)
4.226, 32
2.916, 23
2.400, 31
2.113, 100
1.942, 27
1.871, 22
1.711, 37
1.628, 14
1.401, 11
1.220, 15

---

Entry 6:
MgNi3B: calculated powder X-ray diffraction pattern (copper Kα), based on the GGA-PBE geometry in the Materials Project.
No peak broadening, texture or thermal motion is included.

Structural model:
Unit cell a=3.8624 b=3.8624 c=3.8624 alpha=90.00 beta=90.00 gamma=90.00
Positions (direct):
Mg: 0.0000 0.0000 0.0000
Ni: 0.0000 0.5000 0.5000
Ni: 0.5000 0.0000 0.5000
Ni: 0.5000 0.5000 0.0000
B: 0.5000 0.5000 0.5000

Main lines, in order of rising 2θ (10° ≤ 2θ ≤ 80°):
d (Å), I (rel.)
3.862, 18
2.731, 6
2.230, 100
1.931, 54
1.727, 6
1.577, 2
1.366, 32
1.287, 3
1.221, 1

---

Entry 7:
Mg3Ni20B6: calculated powder X-ray diffraction pattern (copper Kα), based on the GGA-PBE geometry in the Materials Project.
No peak broadening, texture or thermal motion is included.

Structural model:
Unit cell a=7.4646 b=7.4646 c=7.4646 alpha=60.00 beta=60.00 gamma=60.00
Positions (direct):
Mg: 0.0000 0.0000 0.0000
Mg: 0.2500 0.2500 0.2500
Mg: 0.7500 0.7500 0.7500
Ni: 0.0000 0.0000 0.3403
Ni: 0.0000 0.0000 0.6597
Ni: 0.0000 0.3403 0.0000
Ni: 0.0000 0.3403 0.6597
Ni: 0.0000 0.6597 0.0000
Ni: 0.0000 0.6597 0.3403
Ni: 0.1562 0.6146 0.6146
Ni: 0.3403 0.0000 0.0000
Ni: 0.3403 0.0000 0.6597
Ni: 0.3403 0.6597 0.0000
Ni: 0.3854 0.3854 0.3854
Ni: 0.3854 0.3854 0.8438
Ni: 0.3854 0.8438 0.3854
Ni: 0.6146 0.1562 0.6146
Ni: 0.6146 0.6146 0.1562
Ni: 0.6146 0.6146 0.6146
Ni: 0.6597 0.0000 0.0000
Ni: 0.6597 0.0000 0.3403
Ni: 0.6597 0.3403 0.0000
Ni: 0.8438 0.3854 0.3854
B: 0.2710 0.2710 0.7290
B: 0.2710 0.7290 0.2710
B: 0.2710 0.7290 0.7290
B: 0.7290 0.2710 0.2710
B: 0.7290 0.2710 0.7290
B: 0.7290 0.7290 0.2710

Main lines, in order of rising 2θ (10° ≤ 2θ ≤ 80°):
d (Å), I (rel.)
3.732, 10
2.639, 12
2.361, 22
2.155, 14
2.032, 100
1.866, 14
1.784, 36
1.759, 15
1.244, 18
1.219, 11